This entry pairs a crystal structure of NdGe2Se4 with its simulated X-ray diffraction stick pattern. Radiation: CuKα. Structure: a GGA-PBE-relaxed structure.
Lines closer than 0.1° are merged.

Largest 8 diffraction maxima, by angle, 10 to 90 degrees two-theta:
| d_spacing | intensity | h k l |
| --- | --- | --- |
| 5.085 | 38 | 1 0 1 |
| 3.088 | 100 | 1 2 1 |
| 2.868 | 34 | 1 1 2 |
| 2.748 | 48 | 2 2 0 |
| 1.984 | 66 | 3 1 2 |
| 1.884 | 24 | 1 2 3 |
| 1.815 | 27 | 4 1 1 |
| 1.239 | 28 | 5 3 2 |

```
NdGe2Se4
1.0
7.7726 0.0000 0.0000
0.0000 7.7726 0.0000
0.0000 0.0000 6.7236
Nd Ge Se
2 4 8
Cartesian
0.0000 0.0000 0.0000 Nd
3.8863 3.8863 3.3618 Nd
0.0000 3.8863 1.6809 Ge
0.0000 3.8863 5.0427 Ge
3.8863 0.0000 1.6809 Ge
3.8863 0.0000 5.0427 Ge
1.3634 5.3916 3.3618 Se
1.5053 2.5229 0.0000 Se
2.3810 1.3634 3.3618 Se
2.5229 6.2673 0.0000 Se
5.2497 1.5053 0.0000 Se
5.3916 6.4091 3.3618 Se
6.2673 5.2497 0.0000 Se
6.4091 2.3810 3.3618 Se
```

***

This entry pairs a crystal structure of SrReWC with its simulated X-ray diffraction stick pattern. Radiation: CuKα. Structure: a GGA-PBE-relaxed structure.
Lines closer than 0.1° are merged.

Largest 8 diffraction maxima, by angle, 10 to 90 degrees two-theta:
| d_spacing | intensity | h k l |
| --- | --- | --- |
| 6.029 | 100 | 0 0 2 |
| 3.015 | 26 | 0 0 4 |
| 2.859 | 65 | 0 1 3 |
| 2.475 | 79 | 1 1 0 |
| 2.464 | 49 | 1 0 3 |
| 2.290 | 32 | 1 1 2 |
| 1.913 | 29 | 1 1 4 |
| 1.569 | 24 | 1 2 3 |

```
SrReWC
1.0
3.1187 0.0000 0.0000
0.0000 4.0677 0.0000
0.0000 0.0000 12.0583
Sr Re W C
2 2 2 2
Cartesian
0.0000 0.0000 0.0000 Sr
1.5594 2.0339 6.0292 Sr
0.0000 0.0000 3.5029 Re
1.5594 2.0339 9.5321 Re
0.0000 0.0000 8.5476 W
1.5594 2.0339 2.5185 W
0.0000 2.0339 8.1594 C
1.5594 0.0000 2.1303 C
```

***

This entry pairs a crystal structure of NaTi5N5Cl5 with its simulated X-ray diffraction stick pattern. Radiation: CuKα. Structure: a GGA-PBE-relaxed structure.
Lines closer than 0.1° are merged.

Largest 8 diffraction maxima, by angle, 10 to 90 degrees two-theta:
| d_spacing | intensity | h k l |
| --- | --- | --- |
| 8.673 | 100 | 0 1 1 |
| 3.937 | 22 | 1 -1 1 |
| 3.313 | 20 | 1 1 3 |
| 2.625 | 27 | 1 3 0 |
| 2.337 | 30 | -2 1 2 |
| 2.174 | 23 | -1 2 5 |
| 2.021 | 13 | 2 -1 3 |
| 1.480 | 11 | 3 3 4 |

```
NaTi5N5Cl5
1.0
5.2173 0.0000 0.0000
0.5174 9.4804 0.0000
0.5327 4.3225 11.6867
Na Ti N Cl
2 10 10 10
Cartesian
0.2649 3.1607 2.7901 Na
6.0025 10.6422 8.8966 Na
0.7866 5.7701 6.7456 Ti
1.3169 5.9629 9.6310 Ti
2.3564 13.1920 11.4438 Ti
2.3465 9.0459 2.6272 Ti
2.8750 6.7907 4.4054 Ti
3.3924 7.0122 7.2813 Ti
3.9210 4.7570 9.0595 Ti
3.9111 0.6109 0.2430 Ti
4.9506 7.8400 2.0557 Ti
5.4809 8.0328 4.9411 Ti
0.7811 9.3845 1.3556 N
1.3082 7.5245 3.3262 N
1.8303 7.3005 6.0173 N
2.3517 5.4759 8.0029 N
2.8778 5.2410 10.6927 N
3.3896 8.5618 0.9941 N
3.9157 8.3270 3.6838 N
4.4372 6.5024 5.6694 N
4.9592 6.2784 8.3605 N
5.4863 4.4184 10.3311 N
0.7746 6.6072 0.0997 Cl
1.2997 10.3133 4.5313 Cl
1.8222 4.5196 4.7946 Cl
2.3420 8.2540 9.2291 Cl
3.3938 11.9162 9.4556 Cl
2.8736 1.8867 2.2311 Cl
3.9255 5.5489 2.4576 Cl
4.4453 9.2833 6.8921 Cl
4.9677 3.4896 7.1555 Cl
5.4929 7.1956 11.5870 Cl
```

***

Copy entry 1 word for word.
This entry pairs a crystal structure of NdGe2Se4 with its simulated X-ray diffraction stick pattern. Radiation: CuKα. Structure: a GGA-PBE-relaxed structure.
Lines closer than 0.1° are merged.

Largest 8 diffraction maxima, by angle, 10 to 90 degrees two-theta:
| d_spacing | intensity | h k l |
| --- | --- | --- |
| 5.085 | 38 | 1 0 1 |
| 3.088 | 100 | 1 2 1 |
| 2.868 | 34 | 1 1 2 |
| 2.748 | 48 | 2 2 0 |
| 1.984 | 66 | 3 1 2 |
| 1.884 | 24 | 1 2 3 |
| 1.815 | 27 | 4 1 1 |
| 1.239 | 28 | 5 3 2 |

```
NdGe2Se4
1.0
7.7726 0.0000 0.0000
0.0000 7.7726 0.0000
0.0000 0.0000 6.7236
Nd Ge Se
2 4 8
Cartesian
0.0000 0.0000 0.0000 Nd
3.8863 3.8863 3.3618 Nd
0.0000 3.8863 1.6809 Ge
0.0000 3.8863 5.0427 Ge
3.8863 0.0000 1.6809 Ge
3.8863 0.0000 5.0427 Ge
1.3634 5.3916 3.3618 Se
1.5053 2.5229 0.0000 Se
2.3810 1.3634 3.3618 Se
2.5229 6.2673 0.0000 Se
5.2497 1.5053 0.0000 Se
5.3916 6.4091 3.3618 Se
6.2673 5.2497 0.0000 Se
6.4091 2.3810 3.3618 Se
```